Record 1
Starting from a crystal structure in Alexandria, relaxed with GGA-PBE, the PXRD pattern of Tb5Sm6Mg2 was simulated for copper Kα.
Intensities are scaled so that the largest is 100.

Main lines, in order of rising 2θ (15 to 90 degrees two-theta):
index, 2θ (°), intensity
1 2 1, 27.69, 39
3 3 0, 28.12, 97
0 4 1, 29.68, 85
0 8 0, 31.43, 98
3 5 0, 32.32, 100
2 3 1, 32.69, 77
2 4 1, 34.39, 49
3 1 1, 36.31, 46
2 5 1, 36.40, 42
0 0 2, 51.52, 53
0 8 2, 61.63, 31
3 5 2, 62.15, 31

Structure:
```
data_Tb5Sm6Mg2
_space_group_name_H-M_alt 'P b a m'
_space_group_IT_number 55
_space_group_name_Hall '-P 2 2ab'
_cell_length_a 10.4807
_cell_length_b 22.7678
_cell_length_c 3.5466
_cell_angle_alpha 90.00
_cell_angle_beta 90.00
_cell_angle_gamma 90.00
loop_
_atom_site_label
_atom_site_type_symbol
_atom_site_fract_x
_atom_site_fract_y
_atom_site_fract_z
Tb1 Tb 0.0000 0.0000 0.0000
Tb2 Tb 0.0809 0.2509 0.0000
Tb3 Tb 0.1660 0.5059 0.0000
Sm1 Sm 0.0183 0.3870 0.5000
Sm2 Sm 0.1451 0.1179 0.5000
Sm3 Sm 0.1688 0.8664 0.0000
Mg1 Mg 0.1690 0.7391 0.5000
```

---

Record 2
Starting from a crystal structure in Alexandria, relaxed with GGA-PBE, the PXRD pattern of Tb5Sm5Mg2 was simulated for copper Kα.
Intensities are scaled so that the largest is 100.

Main lines, in order of rising 2θ (15 to 90 degrees two-theta):
index, 2θ (°), intensity
3 1 -2, 26.64, 5
3 1 1, 30.93, 100
0 2 0, 35.73, 34
0 0 4, 36.14, 16
6 2 -2, 51.42, 12
6 0 2, 51.73, 23
3 3 1, 61.20, 21
9 1 -5, 61.29, 7
3 1 5, 61.78, 14
6 2 2, 64.46, 12
9 3 -1, 83.97, 6
9 1 3, 84.43, 9

Structure:
```
data_Tb5Sm5Mg2
_space_group_name_H-M_alt 'C 1 2/m 1'
_space_group_IT_number 12
_space_group_name_Hall '-C 2y'
_cell_length_a 15.0635
_cell_length_b 5.0319
_cell_length_c 11.1329
_cell_angle_alpha 90.00
_cell_angle_beta 116.76
_cell_angle_gamma 90.00
loop_
_atom_site_label
_atom_site_type_symbol
_atom_site_fract_x
_atom_site_fract_y
_atom_site_fract_z
Tb1 Tb 0.0000 0.0000 0.0000
Tb2 Tb 0.0856 0.0000 0.7569
Tb3 Tb 0.1663 0.0000 0.4976
Sm1 Sm 0.0000 0.5000 0.5000
Sm2 Sm 0.0810 0.5000 0.2454
Sm3 Sm 0.2486 0.0000 0.2427
Mg1 Mg 0.1683 0.5000 0.9993
```

---

Record 3
Starting from a crystal structure in Alexandria, relaxed with GGA-PBE, the PXRD pattern of Tb4Sm9Mg11 was simulated for copper Kα.
Intensities are scaled so that the largest is 100.

Main lines, in order of rising 2θ (15 to 90 degrees two-theta):
index, 2θ (°), intensity
4 0 0, 21.84, 46
0 6 0, 23.20, 58
0 0 1, 24.16, 79
4 6 0, 32.07, 93
4 0 1, 32.79, 73
0 6 1, 33.73, 100
5 1 1, 37.06, 21
4 6 1, 40.55, 56
0 0 2, 49.48, 20
5 11 1, 58.09, 24
4 6 2, 60.19, 30
9 5 1, 60.47, 24

Structure:
```
data_Tb4Sm9Mg11
_space_group_name_H-M_alt 'C m m m'
_space_group_IT_number 65
_space_group_name_Hall '-C 2 2'
_cell_length_a 16.2763
_cell_length_b 23.0078
_cell_length_c 3.6844
_cell_angle_alpha 90.00
_cell_angle_beta 90.00
_cell_angle_gamma 90.00
loop_
_atom_site_label
_atom_site_type_symbol
_atom_site_fract_x
_atom_site_fract_y
_atom_site_fract_z
Tb1 Tb 0.1596 0.0877 0.0000
Sm1 Sm 0.0000 0.0000 0.0000
Sm2 Sm 0.1142 0.2366 0.0000
Sm3 Sm 0.1182 0.4106 0.0000
Mg1 Mg 0.0000 0.1362 0.5000
Mg2 Mg 0.0000 0.3257 0.5000
Mg3 Mg 0.0000 0.5000 0.5000
Mg4 Mg 0.2301 0.5000 0.5000
Mg5 Mg 0.2340 0.3222 0.5000
```

---

Record 4
Starting from a crystal structure in Alexandria, relaxed with GGA-PBE, the PXRD pattern of Tb2Sm15Mg2 was simulated for copper Kα.
Intensities are scaled so that the largest is 100.

Main lines, in order of rising 2θ (15 to 90 degrees two-theta):
index, 2θ (°), intensity
1 1 0, 15.73, 23
1 2 2, 26.22, 12
3 0 0, 27.41, 22
0 0 6, 30.69, 26
0 3 3, 31.49, 100
2 2 0, 31.76, 29
2 2 3, 35.39, 43
3 3 3, 51.09, 13
0 3 9, 55.08, 11
6 0 0, 56.57, 20
0 6 6, 65.75, 10
4 2 11, 79.66, 10

Structure:
```
data_Tb2Sm15Mg2
_space_group_name_H-M_alt 'R -3 m'
_space_group_IT_number 166
_space_group_name_Hall '-R 3 2"'
_cell_length_a 11.2702
_cell_length_b 11.2702
_cell_length_c 17.4764
_cell_angle_alpha 90.00
_cell_angle_beta 90.00
_cell_angle_gamma 120.00
loop_
_atom_site_label
_atom_site_type_symbol
_atom_site_fract_x
_atom_site_fract_y
_atom_site_fract_z
Tb1 Tb 0.0000 0.0000 0.1809
Sm1 Sm 0.0000 0.2969 0.5000
Sm2 Sm 0.0000 0.5000 0.0000
Sm3 Sm 0.0134 0.5067 0.6406
Mg1 Mg 0.0000 0.0000 0.4071
```

---

Record 5
Starting from a crystal structure in Alexandria, relaxed with GGA-PBE, the PXRD pattern of Tb8Sm6Mg was simulated for copper Kα.
Intensities are scaled so that the largest is 100.

Main lines, in order of rising 2θ (15 to 90 degrees two-theta):
index, 2θ (°), intensity
0 2 1, 25.89, 9
0 0 2, 28.14, 17
1 2 0, 28.83, 26
0 1 2, 30.22, 12
3 -1 1, 32.17, 100
1 1 2, 34.04, 22
1 2 2, 40.73, 12
2 3 1, 50.66, 8
4 1 0, 51.09, 16
3 -2 3, 52.41, 9
5 -4 2, 59.35, 12
2 4 1, 61.68, 19

Structure:
```
data_Tb8Sm6Mg
_space_group_name_H-M_alt 'P -3'
_space_group_IT_number 147
_space_group_name_Hall '-P 3'
_cell_length_a 9.4597
_cell_length_b 9.4597
_cell_length_c 6.3422
_cell_angle_alpha 90.00
_cell_angle_beta 90.00
_cell_angle_gamma 120.00
loop_
_atom_site_label
_atom_site_type_symbol
_atom_site_fract_x
_atom_site_fract_y
_atom_site_fract_z
Tb1 Tb 0.0374 0.7709 0.1857
Tb2 Tb 0.3333 0.6667 0.1648
Sm1 Sm 0.0903 0.6403 0.6824
Mg1 Mg 0.0000 0.0000 0.5000
```

---

Record 6
Starting from a crystal structure in Alexandria, relaxed with GGA-PBE, the PXRD pattern of Tb3Sm8Mg2 was simulated for copper Kα.
Intensities are scaled so that the largest is 100.

Main lines, in order of rising 2θ (15 to 90 degrees two-theta):
index, 2θ (°), intensity
1 2 -2, 28.67, 19
0 2 1, 30.08, 24
1 1 1, 30.53, 41
2 0 0, 30.85, 23
-2 2 1, 31.58, 61
2 1 -2, 31.70, 44
1 -2 2, 31.93, 57
1 0 -3, 32.10, 100
3 -1 0, 44.07, 14
-1 3 2, 44.93, 14
1 3 -4, 47.11, 17
4 1 -2, 60.46, 15

Structure:
```
data_Tb3Sm8Mg2
_space_group_name_H-M_alt 'P -1'
_space_group_IT_number 2
_space_group_name_Hall '-P 1'
_cell_length_a 6.7221
_cell_length_b 8.5699
_cell_length_c 8.7055
_cell_angle_alpha 105.85
_cell_angle_beta 112.66
_cell_angle_gamma 102.17
loop_
_atom_site_label
_atom_site_type_symbol
_atom_site_fract_x
_atom_site_fract_y
_atom_site_fract_z
Tb1 Tb 0.0000 0.0000 0.0000
Tb2 Tb 0.4288 0.1855 0.4939
Sm1 Sm 0.0278 0.2142 0.6720
Sm2 Sm 0.0908 0.4097 0.3506
Sm3 Sm 0.3784 0.9845 0.7932
Sm4 Sm 0.4823 0.3901 0.1638
Mg1 Mg 0.2003 0.6588 0.0668
```